Entry 1:
# Mg8Zn2Ir
Computed X-ray powder pattern, Cu Kα X-rays. Input: a PBE-relaxed structure.
Peak positions follow from Bragg's law for the DFT cell and can differ from measured ones.

Largest 12 diffraction maxima, sorted by position, 2θ from 5° to 70°:
Position (°2θ), Rel. int.
12.4, 44
14.5, 49
22.9, 100
23.6, 79
27.1, 25
27.3, 25
37.9, 26
38.2, 66
38.4, 66
39.7, 41
44.6, 25
45.0, 47

Structural model:
```
data_Mg8Zn2Ir
_chemical_formula_sum 'Mg16 Zn4 Ir2'
_cell_length_a 14.917
_cell_length_b 6.738
_cell_length_c 4.541
_cell_angle_alpha 90.00
_cell_angle_beta 107.38
_cell_angle_gamma 90.00
_symmetry_space_group_name_H-M 'C 1 2 1'
_symmetry_Int_Tables_number 5
_symmetry_space_group_name_Hall 'C 2y'
loop_
_atom_site_label
_atom_site_type_symbol
_atom_site_fract_x
_atom_site_fract_y
_atom_site_fract_z
Mg1 Mg 0.000 0.000 0.000
Mg2 Mg 0.000 0.332 0.500
Mg3 Mg 0.101 0.638 0.101
Mg4 Mg 0.154 0.966 0.654
Mg5 Mg 0.199 0.463 0.699
Zn1 Zn 0.158 0.241 0.158
Ir1 Ir 0.000 0.731 0.500
```

=====

Entry 2:
# Cs3Ru2Br8
Computed X-ray powder pattern, Cu Kα X-rays. Input: a PBE-relaxed structure.
Peak positions follow from Bragg's law for the DFT cell and can differ from measured ones.

Largest 12 diffraction maxima, sorted by position, 2θ from 5° to 70°:
Position (°2θ), Rel. int.
9.5, 36
22.4, 100
26.7, 31
28.9, 68
29.0, 38
30.6, 57
34.5, 36
36.9, 27
39.3, 21
45.7, 57
55.0, 19
55.1, 37

Structural model:
```
data_Cs3Ru2Br8
_chemical_formula_sum 'Cs6 Ru4 Br16'
_cell_length_a 13.752
_cell_length_b 7.927
_cell_length_c 10.330
_cell_angle_alpha 90.00
_cell_angle_beta 116.25
_cell_angle_gamma 90.00
_symmetry_space_group_name_H-M 'C 1 2/m 1'
_symmetry_Int_Tables_number 12
_symmetry_space_group_name_Hall '-C 2y'
loop_
_atom_site_label
_atom_site_type_symbol
_atom_site_fract_x
_atom_site_fract_y
_atom_site_fract_z
Cs1 Cs 0.000 0.000 0.000
Cs2 Cs 0.231 0.000 0.692
Ru1 Ru 0.043 0.500 0.629
Br1 Br 0.040 0.229 0.348
Br2 Br 0.141 0.500 0.926
Br3 Br 0.232 0.500 0.653
```

=====

Entry 3:
# Tc3Rh2
Computed X-ray powder pattern, Cu Kα X-rays. Input: a PBE-relaxed structure.
Peak positions follow from Bragg's law for the DFT cell and can differ from measured ones.

Largest 5 diffraction maxima, sorted by position, 2θ from 5° to 70°:
Position (°2θ), Rel. int.
40.4, 100
40.7, 32
47.1, 64
68.6, 20
69.0, 19

Structural model:
```
data_Tc3Rh2
_chemical_formula_sum 'Tc9 Rh6'
_cell_length_a 2.7367
_cell_length_b 2.7367
_cell_length_c 33.2720
_cell_angle_alpha 90.00
_cell_angle_beta 90.00
_cell_angle_gamma 120.00
_symmetry_space_group_name_H-M 'R -3 m'
_symmetry_Int_Tables_number 166
_symmetry_space_group_name_Hall '-R 3 2"'
loop_
_atom_site_label
_atom_site_type_symbol
_atom_site_fract_x
_atom_site_fract_y
_atom_site_fract_z
Tc1 Tc 0.0000 0.0000 0.0000
Tc2 Tc 0.0000 0.0000 0.1988
Rh1 Rh 0.0000 0.0000 0.3988
```

=====

Entry 4:
# Li3Pu3ZrSe8
Computed X-ray powder pattern, Cu Kα X-rays. Input: a PBE-relaxed structure.
Peak positions follow from Bragg's law for the DFT cell and can differ from measured ones.

Largest 12 diffraction maxima, sorted by position, 2θ from 5° to 70°:
Position (°2θ), Rel. int.
13.8, 100
25.5, 72
31.2, 50
31.3, 99
34.3, 22
41.5, 14
44.2, 57
45.4, 35
45.6, 18
46.5, 20
55.1, 20
57.3, 14

Structural model:
```
data_Li3Pu3ZrSe8
_chemical_formula_sum 'Li6 Pu6 Zr2 Se16'
_cell_length_a 13.737
_cell_length_b 8.186
_cell_length_c 7.966
_cell_angle_alpha 90.00
_cell_angle_beta 123.45
_cell_angle_gamma 90.00
_symmetry_space_group_name_H-M 'C 1 2/m 1'
_symmetry_Int_Tables_number 12
_symmetry_space_group_name_Hall '-C 2y'
loop_
_atom_site_label
_atom_site_type_symbol
_atom_site_fract_x
_atom_site_fract_y
_atom_site_fract_z
Li1 Li 0.000 0.000 0.000
Li2 Li 0.250 0.250 0.500
Pu1 Pu 0.000 0.500 0.500
Pu2 Pu 0.250 0.250 0.000
Zr1 Zr 0.000 0.000 0.500
Se1 Se 0.003 0.236 0.260
Se2 Se 0.239 0.000 0.735
Se3 Se 0.247 0.000 0.252
```

=====

Entry 5:
# LiTiTlZn
Computed X-ray powder pattern, Cu Kα X-rays. Input: a PBE-relaxed structure.
Peak positions follow from Bragg's law for the DFT cell and can differ from measured ones.

Largest 8 diffraction maxima, sorted by position, 2θ from 5° to 70°:
Position (°2θ), Rel. int.
23.4, 42
27.1, 58
38.7, 100
45.8, 22
47.9, 17
56.0, 17
61.5, 9
63.3, 22

Structural model:
```
data_LiTiTlZn
_chemical_formula_sum 'Li4 Ti4 Tl4 Zn4'
_cell_length_a 6.574
_cell_length_b 6.574
_cell_length_c 6.574
_cell_angle_alpha 90.00
_cell_angle_beta 90.00
_cell_angle_gamma 90.00
_symmetry_space_group_name_H-M 'F -4 3 m'
_symmetry_Int_Tables_number 216
_symmetry_space_group_name_Hall 'F -4 2 3'
loop_
_atom_site_label
_atom_site_type_symbol
_atom_site_fract_x
_atom_site_fract_y
_atom_site_fract_z
Li1 Li 0.000 0.000 0.000
Ti1 Ti 0.000 0.000 0.500
Tl1 Tl 0.250 0.250 0.750
Zn1 Zn 0.250 0.250 0.250
```